Diffraction record for LiGaPb2Cl6. The powder diffractogram is computed, not measured: it uses a structure optimized by DFT (GGA-PBE) and Cu Kα X-rays.
Peak positions follow from Bragg's law for the DFT cell and can differ from measured ones.

Principal peaks in the range 10° ≤ 2θ ≤ 80°, sorted by position:
two_theta, intensity
16.8, 100
23.1, 73
24.7, 50
30.0, 27
34.1, 33
37.2, 67
42.5, 35
43.4, 35

Crystal structure
a = 7.7277 Å, b = 7.7277 Å, c = 7.7277 Å
α = 55.66°, β = 55.66°, γ = 55.66°
Element x y z (fractional)
Li 0.0000 0.0000 0.0000
Ga 0.5087 0.5087 0.5087
Pb 0.3106 0.3106 0.3106
Pb 0.8024 0.8024 0.8024
Cl 0.0925 0.3662 0.7395
Cl 0.1941 0.9077 0.6222
Cl 0.3662 0.7395 0.0925
Cl 0.6222 0.1941 0.9077
Cl 0.7395 0.0925 0.3662
Cl 0.9077 0.6222 0.1941